Starting from a DFT-relaxed cell (GGA-PBE, Alexandria), the X-ray diffraction stick pattern of SrAl2Sb2 was calculated for Cu Ka.

Largest 8 diffraction maxima, in order of rising 2θ, 10 to 80 degrees two-theta:
d 4.812, rel. 21, hkl 0 0 2
d 2.964, rel. 100, hkl 1 1 2
d 2.747, rel. 14, hkl 1 0 3
d 2.661, rel. 53, hkl 2 0 0
d 1.881, rel. 19, hkl 2 2 0
d 1.785, rel. 17, hkl 2 0 4
d 1.588, rel. 30, hkl 3 1 2
d 1.476, rel. 14, hkl 1 1 6

Structure:
Cell: 5.3213 5.3213 9.6242 Å, 90.00 90.00 90.00°
Space group I4/mmm (No. 139)
Unique sites:
Sr 0.0000 0.0000 0.0000 [2 per cell]
Al 0.0000 0.0000 0.3638 [4 per cell]
Sb 0.0000 0.5000 0.2500 [4 per cell]

Starting from a DFT-relaxed cell (GGA-PBE, Alexandria), the X-ray diffraction stick pattern of Sr5Al2Sb6 was calculated for Cu Ka.

Largest 8 diffraction maxima, in order of rising 2θ, 10 to 80 degrees two-theta:
d 3.913, rel. 40, hkl 3 0 1
d 3.378, rel. 27, hkl 0 3 1
d 3.254, rel. 49, hkl 1 0 4
d 3.132, rel. 64, hkl 3 2 1
d 3.024, rel. 42, hkl 3 0 3
d 2.983, rel. 100, hkl 4 0 1
d 2.839, rel. 45, hkl 0 2 4
d 2.616, rel. 60, hkl 0 4 0

Structure:
Cell: 12.2556 10.4671 13.4978 Å, 90.00 90.00 90.00°
Space group Pnma (No. 62)
Unique sites:
Sr 0.0800 0.0275 0.2364 [8 per cell]
Sr 0.1620 0.2500 0.8124 [4 per cell]
Sr 0.1682 0.0210 0.5363 [8 per cell]
Al 0.0781 0.7500 0.9332 [4 per cell]
Al 0.1895 0.7500 0.7011 [4 per cell]
Sb 0.0009 0.2500 0.4100 [4 per cell]
Sb 0.0465 0.7500 0.3758 [4 per cell]
Sb 0.1445 0.7500 0.1233 [4 per cell]
Sb 0.1495 0.2500 0.0624 [4 per cell]
Sb 0.1739 0.5553 0.8304 [8 per cell]

Starting from a DFT-relaxed cell (GGA-PBE, Alexandria), the X-ray diffraction stick pattern of SrAlTl2Sb2 was calculated for Cu Ka.

Largest 8 diffraction maxima, in order of rising 2θ, 10 to 80 degrees two-theta:
d 3.424, rel. 32, hkl 1 2 0
d 3.145, rel. 100, hkl 1 2 1
d 2.885, rel. 83, hkl 1 1 2
d 2.745, rel. 31, hkl 1 3 0
d 2.567, rel. 26, hkl 0 1 3
d 2.297, rel. 27, hkl 2 0 0
d 1.712, rel. 28, hkl 2 1 3
d 1.443, rel. 23, hkl 1 2 5

Structure:
Cell: 4.5945 10.2708 7.9518 Å, 90.00 90.00 90.00°
Space group Pmc2_1 (No. 26)
Unique sites:
Sr 0.0000 0.0900 0.0000 [2 per cell]
Al 0.5000 0.1596 0.6487 [2 per cell]
Tl 0.0000 0.3444 0.2960 [2 per cell]
Tl 0.5000 0.4496 0.9979 [2 per cell]
Sb 0.0000 0.3131 0.6967 [2 per cell]
Sb 0.5000 0.0881 0.3041 [2 per cell]

Starting from a DFT-relaxed cell (GGA-PBE, Alexandria), the X-ray diffraction stick pattern of Tb5AlSb2 was calculated for Cu Ka.

Largest 8 diffraction maxima, in order of rising 2θ, 10 to 80 degrees two-theta:
d 7.157, rel. 14, hkl 0 0 2
d 3.666, rel. 12, hkl 0 2 3
d 2.928, rel. 55, hkl 1 1 4
d 2.844, rel. 55, hkl 2 0 0
d 2.808, rel. 23, hkl 0 4 1
d 2.640, rel. 100, hkl 1 3 3
d 1.998, rel. 17, hkl 2 4 1
d 1.600, rel. 21, hkl 3 3 3

Structure:
Cell: 5.6884 11.4528 14.3139 Å, 90.00 90.00 90.00°
Space group Cmcm (No. 63)
Unique sites:
Tb 0.0000 0.0770 0.1013 [8 per cell]
Tb 0.0000 0.3757 0.0519 [8 per cell]
Tb 0.0000 0.4197 0.7500 [4 per cell]
Al 0.0000 0.2854 0.2500 [4 per cell]
Sb 0.0000 0.2001 0.6170 [8 per cell]